[1]
# NaCaAlH2OF6
Calculated powder XRD pattern, λ = 1.5418 Å (Cu Kα). Input: a structure optimized by DFT (PBE).
Peak positions follow from Bragg's law for the DFT cell and can differ from measured ones.

The 12 most intense peaks (2θ = 10–90°), low angle first:
d/Å	intensity	index
3.998	100	0 0 2
3.306	15	1 3 0
3.056	29	4 0 -2
2.832	41	2 2 1
2.823	26	2 2 -3
2.202	45	0 4 2
2.171	17	5 1 -4
2.002	38	0 0 4
1.995	74	4 4 -2
1.937	18	1 5 -2
1.882	24	5 3 -1
1.719	18	6 2 -1

Cell and atoms:
```
data_NaCaAlH2OF6
_symmetry_space_group_name_H-M 'C 1 2/c 1'
_symmetry_Int_Tables_number 15
_cell_length_a 12.2249
_cell_length_b 10.5478
_cell_length_c 10.0489
_cell_angle_alpha 90.00
_cell_angle_beta 127.18
_cell_angle_gamma 90.00
loop_
_symmetry_equiv_pos_as_xyz
'x,y,z'
'-x,-y,-z'
'-x,y,-z+1/2'
'x,-y,z+1/2'
'x+1/2,y+1/2,z'
'-x+1/2,-y+1/2,-z'
'-x+1/2,y+1/2,-z+1/2'
'x+1/2,-y+1/2,z+1/2'
loop_
_atom_site_label
_atom_site_type_symbol
_atom_site_fract_x
_atom_site_fract_y
_atom_site_fract_z
Na1 Na 0.1165 0.1229 0.4920
Ca1 Ca 0.0000 0.1793 0.7500
Ca2 Ca 0.0000 0.4222 0.2500
Al1 Al 0.2243 0.1235 0.2562
H1 H 0.1107 0.3834 0.0243
H2 H 0.1979 0.3859 0.9573
O1 O 0.1038 0.3764 0.9224
F1 F 0.0901 0.2399 0.2004
F2 F 0.1049 0.0033 0.2297
F3 F 0.1490 0.1068 0.0309
F4 F 0.1547 0.4993 0.2048
F5 F 0.1631 0.2501 0.7173
F6 F 0.1965 0.3645 0.5205
```



[2]
# BaMgSb4O8
Calculated powder XRD pattern, λ = 1.5418 Å (Cu Kα). Input: a structure optimized by DFT (PBE).
Peak positions follow from Bragg's law for the DFT cell and can differ from measured ones.

The 12 most intense peaks (2θ = 10–90°), low angle first:
d/Å	intensity	index
4.270	19	1 0 1
3.592	15	0 0 2
3.066	100	1 1 0
2.975	56	1 0 2
2.332	12	2 -1 2
2.135	27	2 0 2
1.887	18	1 1 3
1.770	27	3 0 0
1.752	28	2 1 2
1.550	17	2 -1 4
1.533	13	2 2 0
1.159	11	4 1 0

Cell and atoms:
```
data_BaMgSb4O8
_symmetry_space_group_name_H-M 'P -3 1 m'
_symmetry_Int_Tables_number 162
_symmetry_space_group_name_Hall '-P 3 2'
_cell_length_a 6.1321
_cell_length_b 6.1321
_cell_length_c 7.1843
_cell_angle_alpha 90.00
_cell_angle_beta 90.00
_cell_angle_gamma 120.00
loop_
_atom_site_label
_atom_site_type_symbol
_atom_site_fract_x
_atom_site_fract_y
_atom_site_fract_z
Ba1 Ba 0.0000 0.0000 0.0000
Mg1 Mg 0.0000 0.0000 0.5000
Sb1 Sb 0.3333 0.6667 0.2824
O1 O 0.0000 0.2867 0.3001
O2 O 0.3333 0.6667 0.0000
```